Entry 1:
The following is a theoretical powder diffractogram of Li2ErTm2Sn2. It was derived from a crystal structure in Alexandria, relaxed with GGA-PBE, using copper Kα.
Kinematic intensities with the Lorentz-polarization factor, no thermal factor.

Atomic structure:
```
Li2ErTm2Sn2
1.0
2.3791 1.3736 8.6435
-2.3791 1.3736 8.6435
0.0000 -2.7472 8.6435
Li Er Tm Sn
2 1 2 2
Cartesian
0.0000 0.0000 2.5143
0.0000 0.0000 23.4162
0.0000 0.0000 12.9652
0.0000 0.0000 9.6147
0.0000 0.0000 16.3157
0.0000 0.0000 6.1443
0.0000 0.0000 19.7861
```

Largest 8 diffraction maxima, most intense first, 5 to 70 degrees two-theta:
- 2θ = 35.2°, rel. 1000
- 2θ = 37.8°, rel. 994
- 2θ = 21.8°, rel. 957
- 2θ = 32.5°, rel. 876
- 2θ = 66.9°, rel. 343
- 2θ = 52.6°, rel. 323
- 2θ = 66.6°, rel. 321
- 2θ = 50.7°, rel. 255

Entry 2:
The following is a theoretical powder diffractogram of Ba3Mg. It was derived from a crystal structure in Alexandria, relaxed with GGA-PBE, using copper Kα.
Kinematic intensities with the Lorentz-polarization factor, no thermal factor.

Atomic structure:
```
Ba3Mg
1.0
-2.2846 3.3286 6.8023
2.2846 -3.3286 6.8023
2.2846 3.3286 -6.8023
Ba Mg
3 1
Cartesian
0.0000 0.0000 0.0000
2.2846 0.0000 3.8879
0.0000 3.3286 2.9144
0.0000 0.0000 6.8023
```

Largest 8 diffraction maxima, most intense first, 5 to 70 degrees two-theta:
- 2θ = 27.1°, rel. 1000
- 2θ = 47.5°, rel. 370
- 2θ = 23.7°, rel. 323
- 2θ = 26.8°, rel. 292
- 2θ = 26.2°, rel. 180
- 2θ = 20.5°, rel. 169
- 2θ = 38.5°, rel. 147
- 2θ = 37.8°, rel. 135